Sr2EuWO6: simulated X-ray powder pattern (Cu Kα, 1.54184 Å), based on a DFT-relaxed cell (PBE+U, the Materials Project).
Kinematic intensities with the Lorentz-polarization factor, no thermal factor.

Most intense lines, 2θ = 10–90°, sorted by position:
- 20.6°, I 19
- 29.3°, I 100
- 42.0°, I 30
- 52.0°, I 41
- 60.8°, I 19
- 84.1°, I 22

Structural model:
```
Sr2EuWO6
1.0
0.0000 4.3063 4.3063
4.3063 0.0000 4.3063
4.3063 4.3063 0.0000
Sr Eu W O
2 1 1 6
Direct
0.2500 0.2500 0.2500 Sr
0.7500 0.7500 0.7500 Sr
0.0000 0.0000 0.0000 Eu
0.5000 0.5000 0.5000 W
0.2708 0.2708 0.7292 O
0.2708 0.7292 0.2708 O
0.2708 0.7292 0.7292 O
0.7292 0.2708 0.2708 O
0.7292 0.2708 0.7292 O
0.7292 0.7292 0.2708 O
```



SrEuZnWO6: simulated X-ray powder pattern (Cu Kα, 1.54184 Å), based on a DFT-relaxed cell (PBE+U, the Materials Project).
Kinematic intensities with the Lorentz-polarization factor, no thermal factor.

Most intense lines, 2θ = 10–90°, sorted by position:
- 19.1°, I 18
- 31.4°, I 100
- 45.0°, I 30
- 55.9°, I 40
- 65.5°, I 18
- 74.5°, I 17

Structural model:
```
SrEuZnWO6
1.0
0.0000 4.0287 4.0287
4.0287 0.0000 4.0287
4.0287 4.0287 0.0000
Sr Eu Zn W O
1 1 1 1 6
Direct
0.0000 0.0000 0.0000 Sr
0.5000 0.5000 0.5000 Eu
0.7500 0.7500 0.7500 Zn
0.2500 0.2500 0.2500 W
0.0084 0.0084 0.4916 O
0.0084 0.4916 0.0084 O
0.0084 0.4916 0.4916 O
0.4916 0.0084 0.0084 O
0.4916 0.0084 0.4916 O
0.4916 0.4916 0.0084 O
```



TbEu2VO6: simulated X-ray powder pattern (Cu Kα, 1.54184 Å), based on a DFT-relaxed cell (PBE+U, the Materials Project).
Kinematic intensities with the Lorentz-polarization factor, no thermal factor.

Most intense lines, 2θ = 10–90°, sorted by position:
- 30.7°, I 100
- 44.0°, I 29
- 54.6°, I 40
- 63.9°, I 18
- 72.6°, I 18
- 88.9°, I 22

Structural model:
```
TbEu2VO6
1.0
0.0000 4.1180 4.1180
4.1180 0.0000 4.1180
4.1180 4.1180 0.0000
Tb Eu V O
1 2 1 6
Direct
0.0000 0.0000 0.0000 Tb
0.2500 0.2500 0.2500 Eu
0.7500 0.7500 0.7500 Eu
0.5000 0.5000 0.5000 V
0.2681 0.2681 0.7319 O
0.2681 0.7319 0.2681 O
0.2681 0.7319 0.7319 O
0.7319 0.2681 0.2681 O
0.7319 0.2681 0.7319 O
0.7319 0.7319 0.2681 O
```



Eu2V2O5: simulated X-ray powder pattern (Cu Kα, 1.54184 Å), based on a DFT-relaxed cell (PBE+U, the Materials Project).
Kinematic intensities with the Lorentz-polarization factor, no thermal factor.

Most intense lines, 2θ = 10–90°, sorted by position:
- 22.2°, I 36
- 30.9°, I 34
- 32.0°, I 100
- 32.2°, I 36
- 45.3°, I 31
- 57.3°, I 20

Structural model:
```
Eu2V2O5
1.0
-7.8080 2.8907 2.7768
7.8080 -2.8907 2.7768
7.8080 2.8907 -2.7768
Eu V O
4 4 10
Direct
0.0211 0.1083 0.1295 Eu
0.0211 0.3917 0.4128 Eu
0.9789 0.6083 0.5872 Eu
0.9789 0.8917 0.8705 Eu
0.4751 0.7912 0.1839 V
0.4932 0.4932 0.0000 V
0.4932 0.9932 0.5000 V
0.6073 0.2912 0.8161 V
0.0202 0.6457 0.8744 O
0.4133 0.1137 0.5766 O
0.4133 0.3366 0.7996 O
0.5000 0.2352 0.2419 O
0.5000 0.7581 0.7648 O
0.5371 0.6137 0.2004 O
0.5371 0.8366 0.4234 O
0.7713 0.1457 0.1256 O
0.9933 0.2581 0.7581 O
0.9933 0.7352 0.2352 O
```



EuVO3: simulated X-ray powder pattern (Cu Kα, 1.54184 Å), based on a DFT-relaxed cell (PBE+U, the Materials Project).
Kinematic intensities with the Lorentz-polarization factor, no thermal factor.

Most intense lines, 2θ = 10–90°, sorted by position:
- 22.8°, I 19
- 32.2°, I 18
- 32.6°, I 100
- 40.3°, I 13
- 46.5°, I 21
- 58.2°, I 17

Structural model:
```
EuVO3
1.0
5.5581 0.0000 0.0000
0.0000 7.7455 0.0000
0.0000 0.0000 5.4837
Eu V O
4 4 12
Direct
0.0394 0.2500 0.0073 Eu
0.4606 0.7500 0.5073 Eu
0.5394 0.2500 0.4927 Eu
0.9606 0.7500 0.9927 Eu
0.0000 0.0000 0.5000 V
0.0000 0.5000 0.5000 V
0.5000 0.0000 0.0000 V
0.5000 0.5000 0.0000 V
0.0147 0.7500 0.4309 O
0.2091 0.5366 0.7849 O
0.2091 0.9634 0.7849 O
0.2909 0.0366 0.2849 O
0.2909 0.4634 0.2849 O
0.4853 0.2500 0.9309 O
0.5147 0.7500 0.0691 O
0.7091 0.5366 0.7151 O
0.7091 0.9634 0.7151 O
0.7909 0.0366 0.2151 O
0.7909 0.4634 0.2151 O
0.9853 0.2500 0.5691 O
```



Eu3V2O7: simulated X-ray powder pattern (Cu Kα, 1.54184 Å), based on a DFT-relaxed cell (PBE+U, the Materials Project).
Kinematic intensities with the Lorentz-polarization factor, no thermal factor.

Most intense lines, 2θ = 10–90°, sorted by position:
- 23.4°, I 24
- 31.8°, I 100
- 32.7°, I 60
- 42.3°, I 30
- 46.9°, I 33
- 57.8°, I 37

Structural model:
```
Eu3V2O7
1.0
-1.9371 1.9371 10.2631
1.9371 -1.9371 10.2631
1.9371 1.9371 -10.2631
Eu V O
3 2 7
Direct
0.0000 0.0000 0.0000 Eu
0.1851 0.1851 0.0000 Eu
0.8149 0.8149 0.0000 Eu
0.4021 0.4021 0.0000 V
0.5979 0.5979 0.0000 V
0.0975 0.5975 0.5000 O
0.3001 0.3001 0.0000 O
0.4025 0.9025 0.5000 O
0.5000 0.5000 0.0000 O
0.5975 0.0975 0.5000 O
0.6999 0.6999 0.0000 O
0.9025 0.4025 0.5000 O
```